[1]
The following is a theoretical X-ray powder pattern of Ta2Nb8Mo. It was derived from the GGA-PBE geometry in Alexandria, using Cu Kα, 1.54184 Å.

Main lines, low angle first (2θ = 10–90°):
35.09 deg, rel. 56.6
35.49 deg, rel. 38.0
37.36 deg, rel. 41.6
38.16 deg, rel. 40.1
38.71 deg, rel. 100.0
39.87 deg, rel. 37.9
40.44 deg, rel. 64.1
41.29 deg, rel. 35.5
41.41 deg, rel. 51.8
44.01 deg, rel. 49.3

Cell and atoms:
```
Ta2Nb8Mo
1.0
7.2477 -2.7358 0.0000
7.2477 2.7358 0.0000
-0.4469 0.0000 5.2320
Ta Nb Mo
2 8 1
Cartesian
3.3160 0.0000 1.9569
10.7325 0.0000 3.2752
1.1091 0.0000 0.6129
5.7571 1.3410 1.9711
3.9038 0.0000 4.6147
8.2914 1.3410 3.2609
5.7571 -1.3410 1.9711
10.1447 0.0000 0.6173
8.2914 -1.3410 3.2609
12.9394 0.0000 4.6192
7.2477 0.0000 0.0000
```

[2]
The following is a theoretical X-ray powder pattern of La2ThGa6. It was derived from the GGA-PBE geometry in Alexandria, using Cu Kα, 1.54184 Å.

Main lines, low angle first (2θ = 10–90°):
23.86 deg, rel. 14.7
31.52 deg, rel. 100.0
41.27 deg, rel. 13.7
41.96 deg, rel. 39.1
53.42 deg, rel. 22.6
60.32 deg, rel. 26.5
69.16 deg, rel. 10.3
70.15 deg, rel. 19.8
76.66 deg, rel. 6.5
84.30 deg, rel. 6.1

Cell and atoms:
```
La2ThGa6
1.0
7.4582 0.0000 0.0000
-3.7291 6.4590 0.0000
0.0000 0.0000 4.3752
La Th Ga
2 1 6
Cartesian
0.0000 4.3060 0.0000
3.7291 2.1530 0.0000
0.0000 0.0000 0.0000
-1.2365 2.1417 2.1876
-2.4926 4.3173 2.1876
2.4730 0.0000 2.1876
1.2365 2.1417 2.1876
4.9851 0.0000 2.1876
2.4926 4.3173 2.1876
```

[3]
The following is a theoretical X-ray powder pattern of Rb2NaO4. It was derived from the GGA-PBE geometry in Alexandria, using Cu Kα, 1.54184 Å.

Main lines, low angle first (2θ = 10–90°):
15.17 deg, rel. 27.6
23.94 deg, rel. 29.4
24.93 deg, rel. 46.6
25.63 deg, rel. 34.2
27.99 deg, rel. 90.4
30.01 deg, rel. 35.7
30.44 deg, rel. 32.0
34.89 deg, rel. 33.3
37.25 deg, rel. 100.0
38.37 deg, rel. 64.7

Cell and atoms:
```
Rb2NaO4
1.0
4.8373 -5.3802 0.0000
4.8373 5.3802 0.0000
-4.6985 0.0000 5.1425
Rb Na O
4 2 8
Cartesian
2.4881 4.6685 2.5713
1.9843 1.0599 3.1072
4.3335 -1.0599 0.5359
4.8373 -4.6685 0.0000
4.3506 2.6182 0.5091
2.0013 -2.6182 3.0803
-0.7388 1.7774 2.5975
-0.7610 1.1239 3.8607
1.6105 -1.7774 0.0262
1.5882 -1.1239 1.2894
4.4889 2.4566 2.9126
4.9642 1.1967 2.3563
2.6149 -1.1967 4.9276
6.8382 -2.4566 0.3413
```